This entry pairs a crystal structure of Sr2CuCN2O2 with its calculated PXRD pattern. Radiation: Cu Kα. Structure: a crystal structure in the Materials Project, relaxed with GGA-PBE.
Peak positions follow from Bragg's law for the DFT cell and can differ from measured ones.

Atomic structure:
```
data_Sr2CuCN2O2
_chemical_formula_sum 'Sr2 Cu1 C1 N2 O2'
_space_group_name_H-M_alt 'P 1'
_space_group_IT_number 1
_space_group_name_Hall 'P 1'
_cell_length_a 3.837
_cell_length_b 3.837
_cell_length_c 8.178
_cell_angle_alpha 90.00
_cell_angle_beta 90.00
_cell_angle_gamma 90.00
loop_
_atom_site_label
_atom_site_fract_x
_atom_site_fract_y
_atom_site_fract_z
_atom_site_occupancy
Sr1 0.000 0.000 0.212 1
Sr2 0.000 0.000 0.788 1
Cu1 0.500 0.500 0.000 1
C1 0.500 0.500 0.500 1
N1 0.500 0.500 0.348 1
N2 0.500 0.500 0.652 1
O1 0.000 0.500 0.000 1
O2 0.500 0.000 0.000 1
```

Top 10 peaks for 10 to 90 degrees two-theta, low angle first:
2theta	I (rel.)	index
10.82	82	0 0 1
23.18	9	1 0 0
31.98	100	1 0 2
33.01	55	1 1 0
39.87	15	1 1 2
40.59	39	1 0 3
47.38	30	2 0 0
58.31	34	2 1 2
64.12	19	2 1 3
66.82	16	1 1 5


This entry pairs a crystal structure of CuC2S2N4 with its calculated PXRD pattern. Radiation: Cu Kα. Structure: a crystal structure in the Materials Project, relaxed with GGA-PBE.
Peak positions follow from Bragg's law for the DFT cell and can differ from measured ones.

Atomic structure:
```
data_CuC2S2N4
_chemical_formula_sum 'Cu4 C8 S8 N16'
_space_group_name_H-M_alt 'P 1'
_space_group_IT_number 1
_space_group_name_Hall 'P 1'
_cell_length_a 14.201
_cell_length_b 6.713
_cell_length_c 8.596
_cell_angle_alpha 90.00
_cell_angle_beta 90.00
_cell_angle_gamma 90.00
loop_
_atom_site_label
_atom_site_fract_x
_atom_site_fract_y
_atom_site_fract_z
_atom_site_occupancy
Cu1 0.178 0.250 0.107 1
Cu2 0.322 0.750 0.607 1
Cu3 0.678 0.250 0.393 1
Cu4 0.822 0.750 0.893 1
C1 0.088 0.250 0.792 1
C2 0.222 0.750 0.914 1
C3 0.278 0.250 0.414 1
C4 0.412 0.750 0.292 1
C5 0.588 0.250 0.708 1
C6 0.722 0.750 0.586 1
C7 0.778 0.250 0.086 1
C8 0.912 0.750 0.208 1
S1 0.041 0.250 0.623 1
S2 0.164 0.750 0.074 1
S3 0.336 0.250 0.574 1
S4 0.459 0.750 0.123 1
S5 0.541 0.250 0.877 1
S6 0.664 0.750 0.426 1
S7 0.836 0.250 0.926 1
S8 0.959 0.750 0.377 1
N1 0.056 0.250 0.197 1
N2 0.124 0.250 0.917 1
N3 0.199 0.750 0.520 1
N4 0.233 0.250 0.298 1
N5 0.267 0.750 0.798 1
N6 0.301 0.250 0.020 1
N7 0.376 0.750 0.417 1
N8 0.444 0.750 0.697 1
N9 0.556 0.250 0.303 1
N10 0.624 0.250 0.583 1
N11 0.699 0.750 0.980 1
N12 0.733 0.250 0.202 1
N13 0.767 0.750 0.702 1
N14 0.801 0.250 0.480 1
N15 0.876 0.750 0.083 1
N16 0.944 0.750 0.803 1
```

Top 10 peaks for 10 to 90 degrees two-theta, low angle first:
2theta	I (rel.)	index
12.04	22	1 0 1
12.47	31	2 0 0
18.19	46	2 1 0
20.94	48	2 1 1
21.43	71	3 0 1
21.60	32	1 0 2
26.56	100	0 2 0
34.38	40	3 2 1
34.49	20	1 2 2
40.41	25	4 0 3


This entry pairs a crystal structure of CuC2S2N4 with its calculated PXRD pattern. Radiation: Cu Kα. Structure: a crystal structure in the Materials Project, relaxed with GGA-PBE.
Peak positions follow from Bragg's law for the DFT cell and can differ from measured ones.

Atomic structure:
```
data_CuC2S2N4
_chemical_formula_sum 'Cu4 C8 S8 N16'
_space_group_name_H-M_alt 'P 1'
_space_group_IT_number 1
_space_group_name_Hall 'P 1'
_cell_length_a 13.839
_cell_length_b 6.174
_cell_length_c 8.601
_cell_angle_alpha 90.00
_cell_angle_beta 90.00
_cell_angle_gamma 90.00
loop_
_atom_site_label
_atom_site_fract_x
_atom_site_fract_y
_atom_site_fract_z
_atom_site_occupancy
Cu1 0.178 0.249 0.000 1
Cu2 0.322 0.749 0.500 1
Cu3 0.678 0.251 0.000 1
Cu4 0.822 0.751 0.500 1
C1 0.091 0.252 0.679 1
C2 0.224 0.757 0.812 1
C3 0.276 0.257 0.312 1
C4 0.409 0.752 0.179 1
C5 0.591 0.248 0.679 1
C6 0.724 0.743 0.812 1
C7 0.776 0.243 0.312 1
C8 0.909 0.748 0.179 1
S1 0.050 0.253 0.504 1
S2 0.171 0.761 0.980 1
S3 0.329 0.261 0.480 1
S4 0.450 0.753 0.004 1
S5 0.550 0.247 0.504 1
S6 0.671 0.739 0.980 1
S7 0.829 0.239 0.480 1
S8 0.950 0.747 0.004 1
N1 0.051 0.248 0.087 1
N2 0.125 0.248 0.805 1
N3 0.196 0.759 0.412 1
N4 0.234 0.253 0.193 1
N5 0.266 0.753 0.693 1
N6 0.304 0.259 0.912 1
N7 0.375 0.748 0.305 1
N8 0.449 0.748 0.587 1
N9 0.551 0.252 0.087 1
N10 0.625 0.252 0.805 1
N11 0.696 0.741 0.412 1
N12 0.734 0.247 0.193 1
N13 0.766 0.747 0.693 1
N14 0.804 0.241 0.912 1
N15 0.875 0.752 0.305 1
N16 0.949 0.752 0.587 1
```

Top 10 peaks for 10 to 90 degrees two-theta, low angle first:
2theta	I (rel.)	index
12.79	45	2 0 0
16.44	79	2 0 1
19.27	59	2 1 0
20.65	62	0 0 2
21.89	58	2 1 1
27.79	62	4 0 1
28.92	100	0 2 0
33.45	26	2 2 1
35.80	30	0 2 2
40.54	44	4 2 1